1.
Ac2NpPbO8: theoretical X-ray diffraction stick pattern (copper Kα), based on a DFT-relaxed cell (PBE, Alexandria).

Atomic structure:
```
data_Ac2NpPbO8
_chemical_formula_sum 'Ac2 Np1 Pb1 O8'
_space_group_name_H-M_alt 'P -1'
_space_group_IT_number 2
_cell_length_a 4.221
_cell_length_b 5.679
_cell_length_c 8.039
_cell_angle_alpha 89.89
_cell_angle_beta 89.97
_cell_angle_gamma 83.67
loop_
_space_group_symop_operation_xyz
'x,y,z'
'-x,-y,-z'
loop_
_atom_site_label
_atom_site_fract_x
_atom_site_fract_y
_atom_site_fract_z
Ac1 0.000 0.001 0.255
Np1 0.500 0.500 0.500
Pb1 0.500 0.500 0.000
O1 0.049 0.745 0.001
O2 0.081 0.710 0.500
O3 0.448 0.272 0.701
O4 0.449 0.274 0.298
```

The 10 most intense peaks (10° ≤ 2θ ≤ 90°), most intense first:
hkl 0 1 2, 2θ = 27.2°, 3.274 Å, I 100; hkl 1 1 0, 2θ = 25.0°, 3.560 Å, I 62; hkl 1 0 2, 2θ = 30.8°, 2.902 Å, I 55; hkl 1 -1 0, 2θ = 27.9°, 3.202 Å, I 47; hkl 1 2 -2, 2θ = 43.0°, 2.105 Å, I 38; hkl 1 -2 2, 2θ = 46.6°, 1.950 Å, I 29; hkl 0 2 0, 2θ = 31.7°, 2.822 Å, I 25; hkl 0 3 -2, 2θ = 53.8°, 1.704 Å, I 23; hkl 2 1 2, 2θ = 50.1°, 1.820 Å, I 19; hkl 2 0 0, 2θ = 43.1°, 2.097 Å, I 18

***

2.
Tb2Sm5Th3: theoretical X-ray diffraction stick pattern (copper Kα), based on a DFT-relaxed cell (PBE, Alexandria).

Atomic structure:
```
data_Tb2Sm5Th3
_chemical_formula_sum 'Tb4 Sm10 Th6'
_space_group_name_H-M_alt 'C 1 2/m 1'
_space_group_IT_number 12
_cell_length_a 11.387
_cell_length_b 5.080
_cell_length_c 11.395
_cell_angle_alpha 90.00
_cell_angle_beta 90.13
_cell_angle_gamma 90.00
loop_
_space_group_symop_operation_xyz
'x,y,z'
'-x,-y,-z'
'-x,y,-z'
'x,-y,z'
'x+1/2,y+1/2,z'
'-x+1/2,-y+1/2,-z'
'-x+1/2,y+1/2,-z'
'x+1/2,-y+1/2,z'
loop_
_atom_site_label
_atom_site_fract_x
_atom_site_fract_y
_atom_site_fract_z
Tb1 0.098 0.000 0.295
Sm1 0.000 0.500 0.500
Sm2 0.199 0.000 0.603
Sm3 0.199 0.500 0.099
Th1 0.000 0.000 0.000
Th2 0.098 0.500 0.802
```

The 10 most intense peaks (10° ≤ 2θ ≤ 90°), most intense first:
hkl 1 1 3, 2θ = 30.4°, 2.938 Å, I 100; hkl 4 0 2, 2θ = 35.2°, 2.547 Å, I 34; hkl 6 0 -2, 2θ = 50.7°, 1.800 Å, I 24; hkl 3 3 -1, 2θ = 60.4°, 1.534 Å, I 22; hkl 0 2 0, 2θ = 35.3°, 2.540 Å, I 17; hkl 5 1 -5, 2θ = 60.2°, 1.537 Å, I 15; hkl 6 2 -2, 2θ = 63.3°, 1.469 Å, I 13; hkl 4 2 2, 2θ = 50.8°, 1.798 Å, I 12; hkl 7 3 1, 2θ = 82.7°, 1.167 Å, I 9; hkl 9 1 -3, 2θ = 82.6°, 1.168 Å, I 9

***

3.
Ag4TeO5: theoretical X-ray diffraction stick pattern (copper Kα), based on a DFT-relaxed cell (PBE, Alexandria).

Atomic structure:
```
data_Ag4TeO5
_chemical_formula_sum 'Ag32 Te8 O40'
_space_group_name_H-M_alt 'C 1 2/c 1'
_space_group_IT_number 15
_cell_length_a 16.322
_cell_length_b 6.358
_cell_length_c 11.889
_cell_angle_alpha 90.00
_cell_angle_beta 104.48
_cell_angle_gamma 90.00
loop_
_space_group_symop_operation_xyz
'x,y,z'
'-x,-y,-z'
'-x,y,-z+1/2'
'x,-y,z+1/2'
'x+1/2,y+1/2,z'
'-x+1/2,-y+1/2,-z'
'-x+1/2,y+1/2,-z+1/2'
'x+1/2,-y+1/2,z+1/2'
loop_
_atom_site_label
_atom_site_fract_x
_atom_site_fract_y
_atom_site_fract_z
Ag1 0.000 0.075 0.250
Ag2 0.075 0.207 0.044
Ag3 0.084 0.366 0.718
Ag4 0.212 0.009 0.242
Ag5 0.250 0.250 0.000
Te1 0.147 0.291 0.472
O1 0.068 0.463 0.367
O2 0.071 0.173 0.559
O3 0.127 0.047 0.368
O4 0.174 0.473 0.084
O5 0.247 0.129 0.584
```

The 10 most intense peaks (10° ≤ 2θ ≤ 90°), most intense first:
hkl 0 2 2, 2θ = 32.2°, 2.783 Å, I 100; hkl 5 1 -3, 2θ = 34.9°, 2.569 Å, I 81; hkl 0 0 4, 2θ = 31.1°, 2.878 Å, I 61; hkl 2 2 1, 2θ = 32.0°, 2.798 Å, I 60; hkl 5 1 1, 2θ = 34.3°, 2.616 Å, I 53; hkl 5 1 2, 2θ = 38.5°, 2.341 Å, I 33; hkl 5 3 -1, 2θ = 51.4°, 1.777 Å, I 26; hkl 1 1 3, 2θ = 28.9°, 3.087 Å, I 26; hkl 5 1 0, 2θ = 31.6°, 2.830 Å, I 25; hkl 0 2 1, 2θ = 29.1°, 3.064 Å, I 23

***

4.
CaTb5Y12: theoretical X-ray diffraction stick pattern (copper Kα), based on a DFT-relaxed cell (PBE, Alexandria).

Atomic structure:
```
data_CaTb5Y12
_chemical_formula_sum 'Ca1 Tb5 Y12'
_space_group_name_H-M_alt 'P 1 2/m 1'
_space_group_IT_number 10
_cell_length_a 10.759
_cell_length_b 5.065
_cell_length_c 10.772
_cell_angle_alpha 90.00
_cell_angle_beta 90.05
_cell_angle_gamma 90.00
loop_
_space_group_symop_operation_xyz
'x,y,z'
'-x,-y,-z'
'-x,y,-z'
'x,-y,z'
loop_
_atom_site_label
_atom_site_fract_x
_atom_site_fract_y
_atom_site_fract_z
Ca1 0.000 0.000 0.000
Tb1 0.173 0.500 0.827
Tb2 0.333 0.000 0.667
Tb3 0.500 0.500 0.500
Y1 0.001 0.000 0.663
Y2 0.167 0.500 0.500
Y3 0.172 0.500 0.172
Y4 0.334 0.000 0.334
Y5 0.337 0.000 0.999
Y6 0.500 0.500 0.167
```

The 10 most intense peaks (10° ≤ 2θ ≤ 90°), most intense first:
hkl 3 1 0, 2θ = 30.5°, 2.928 Å, I 100; hkl 0 2 0, 2θ = 35.4°, 2.536 Å, I 50; hkl 6 1 3, 2θ = 60.5°, 1.530 Å, I 27; hkl 3 2 -3, 2θ = 50.9°, 1.794 Å, I 23; hkl 3 3 0, 2θ = 60.6°, 1.528 Å, I 14; hkl 6 3 3, 2θ = 83.0°, 1.163 Å, I 14; hkl 6 2 0, 2θ = 63.5°, 1.464 Å, I 12; hkl 3 2 3, 2θ = 51.0°, 1.792 Å, I 12; hkl 1 0 1, 2θ = 11.6°, 7.611 Å, I 6; hkl 3 4 3, 2θ = 85.8°, 1.133 Å, I 5

***

5.
Tl2TeS2: theoretical X-ray diffraction stick pattern (copper Kα), based on a DFT-relaxed cell (PBE, Alexandria).

Atomic structure:
```
data_Tl2TeS2
_chemical_formula_sum 'Tl4 Te2 S4'
_space_group_name_H-M_alt 'P 1 21 1'
_space_group_IT_number 4
_cell_length_a 5.541
_cell_length_b 5.494
_cell_length_c 10.920
_cell_angle_alpha 90.00
_cell_angle_beta 99.14
_cell_angle_gamma 90.00
loop_
_space_group_symop_operation_xyz
'x,y,z'
'-x,y+1/2,-z'
loop_
_atom_site_label
_atom_site_fract_x
_atom_site_fract_y
_atom_site_fract_z
Tl1 0.220 0.000 0.421
Tl2 0.270 0.834 0.077
Te1 0.293 0.871 0.750
S1 0.110 0.340 0.186
S2 0.303 0.295 0.686
```

The 10 most intense peaks (10° ≤ 2θ ≤ 90°), most intense first:
hkl 1 1 0, 2θ = 22.9°, 3.877 Å, I 100; hkl 0 1 3, 2θ = 29.7°, 3.008 Å, I 68; hkl 1 0 -3, 2θ = 27.4°, 3.250 Å, I 43; hkl 2 1 -3, 2θ = 41.5°, 2.174 Å, I 40; hkl 1 0 3, 2θ = 31.9°, 2.806 Å, I 40; hkl 2 0 0, 2θ = 32.7°, 2.736 Å, I 31; hkl 1 1 -1, 2θ = 23.5°, 3.786 Å, I 23; hkl 0 2 1, 2θ = 33.7°, 2.662 Å, I 20; hkl 3 1 0, 2θ = 52.9°, 1.730 Å, I 20; hkl 0 2 0, 2θ = 32.6°, 2.747 Å, I 15

***

6.
LaCdI2: theoretical X-ray diffraction stick pattern (copper Kα), based on a DFT-relaxed cell (PBE, Alexandria).

Atomic structure:
```
data_LaCdI2
_chemical_formula_sum 'La4 Cd4 I8'
_space_group_name_H-M_alt 'F m -3 m'
_space_group_IT_number 225
_space_group_name_Hall '-F 4 2 3'
_cell_length_a 8.061
_cell_length_b 8.061
_cell_length_c 8.061
_cell_angle_alpha 90.00
_cell_angle_beta 90.00
_cell_angle_gamma 90.00
loop_
_atom_site_label
_atom_site_fract_x
_atom_site_fract_y
_atom_site_fract_z
La1 0.000 0.000 0.000
Cd1 0.000 0.000 0.500
I1 0.250 0.250 0.250
```

The 6 most intense peaks (10° ≤ 2θ ≤ 90°), most intense first:
hkl 2 2 0, 2θ = 31.4°, 2.850 Å, I 100; hkl 4 2 2, 2θ = 55.9°, 1.645 Å, I 38; hkl 4 0 0, 2θ = 45.0°, 2.015 Å, I 18; hkl 6 2 0, 2θ = 74.4°, 1.275 Å, I 16; hkl 4 4 0, 2θ = 65.5°, 1.425 Å, I 12; hkl 4 4 4, 2θ = 83.0°, 1.164 Å, I 4